No. 1
Diffraction record for K2MnH2OF5. The powder X-ray diffraction pattern is simulated, not measured: it uses a structure optimized by DFT (PBE+U) and λ = 1.5418 Å (Cu Kα).

Most intense lines, 2θ = 10–90°, sorted by position:
- 14.24 deg, intensity 95
- 14.69 deg, intensity 80
- 25.71 deg, intensity 63
- 25.97 deg, intensity 57
- 28.66 deg, intensity 100
- 30.79 deg, intensity 37
- 32.86 deg, intensity 41
- 36.78 deg, intensity 32
- 38.41 deg, intensity 42
- 43.37 deg, intensity 61

Atomic structure:
```
K2MnH2OF5
1.0
6.0943 0.0000 0.0000
0.0000 8.3454 0.0000
-0.9231 0.0000 6.2216
K Mn H O F
4 2 4 2 10
Cartesian
-0.0593 2.0864 0.6407
1.9941 6.2591 2.9852
3.1771 2.0864 3.2364
5.2306 6.2591 5.5809
3.0472 0.0000 0.0000
3.0472 4.1727 0.0000
0.2619 1.2959 3.8831
0.2619 2.8768 3.8831
4.9094 5.4686 2.3385
4.9094 7.0495 2.3385
-0.1022 2.0864 3.4144
5.2735 6.2591 2.8071
1.4632 4.4644 0.9807
1.4632 8.0537 0.9807
1.1172 4.2162 4.5884
1.1172 8.3019 4.5884
2.7274 2.0864 0.1989
2.4439 6.2591 6.0227
4.0541 0.0435 1.6332
4.0541 4.1292 1.6332
3.7080 0.2917 5.2409
3.7080 3.8810 5.2409
```

No. 2
Diffraction record for Cr3NiS6O24. The powder X-ray diffraction pattern is simulated, not measured: it uses a structure optimized by DFT (PBE+U) and λ = 1.5418 Å (Cu Kα).

Most intense lines, 2θ = 10–90°, sorted by position:
- 14.67 deg, intensity 53
- 20.16 deg, intensity 48
- 21.43 deg, intensity 13
- 24.58 deg, intensity 100
- 29.59 deg, intensity 40
- 32.34 deg, intensity 49
- 33.24 deg, intensity 12
- 37.56 deg, intensity 14
- 50.39 deg, intensity 12
- 53.15 deg, intensity 17

Atomic structure:
```
Cr3NiS6O24
1.0
4.1473 2.3944 7.4339
-4.1473 2.3944 7.4339
0.0000 -4.7889 7.4339
Cr Ni S O
3 1 6 24
Cartesian
0.0000 0.0000 0.0000
0.0000 0.0000 4.5748
0.0000 0.0000 15.8708
0.0000 0.0000 11.2779
-1.2108 -2.7278 9.8050
-2.4050 -0.0234 13.4943
-1.7569 2.4124 9.8050
1.2227 -2.0711 13.4943
2.9677 0.3153 9.8050
1.1822 2.0945 13.4943
-0.2410 -1.6184 3.4425
-1.5433 -0.5896 5.7426
-0.8265 -3.3449 8.5080
-1.2810 1.0179 3.4425
-3.5987 -0.9034 13.6461
-2.4836 2.3882 8.5080
-0.2450 -1.6730 10.1046
-1.5743 -0.6050 12.4284
1.2822 -1.0418 5.7426
-1.3264 1.0487 10.1046
1.5221 0.6004 3.4425
0.2611 1.6314 5.7426
-1.6893 0.0594 14.7882
-0.5952 -1.4654 17.1133
1.3111 -1.0609 12.4283
0.7932 -1.4926 14.7882
1.5714 0.6243 10.1046
0.2632 1.6659 12.4283
-0.9714 1.2482 17.1133
2.5817 -2.6648 13.6461
3.3100 0.9567 8.5080
0.8961 1.4332 14.7882
1.5667 0.2172 17.1134
1.0170 3.5682 13.6461
```

No. 3
Diffraction record for Co3P2H16O16. The powder X-ray diffraction pattern is simulated, not measured: it uses a structure optimized by DFT (PBE+U) and λ = 1.5418 Å (Cu Kα).

Most intense lines, 2θ = 10–90°, sorted by position:
- 11.20 deg, intensity 31
- 13.22 deg, intensity 100
- 18.14 deg, intensity 34
- 23.03 deg, intensity 30
- 27.85 deg, intensity 34
- 30.09 deg, intensity 48
- 33.00 deg, intensity 26
- 33.23 deg, intensity 19
- 36.98 deg, intensity 20
- 54.86 deg, intensity 20

Atomic structure:
```
Co3P2H16O16
1.0
5.0621 -6.6988 0.0000
5.0621 6.6988 0.0000
-1.2115 0.0000 4.5429
Co P H O
3 2 16 16
Cartesian
0.0000 0.0000 0.0000
5.0621 1.4734 0.0000
5.0621 -1.4734 0.0000
2.7074 0.0000 1.7469
6.2053 0.0000 2.7959
0.4777 1.0888 2.8774
0.7096 1.7590 4.2891
3.0797 2.6017 2.3808
3.7405 3.7545 3.2730
0.4777 -1.0888 2.8774
5.1722 3.7545 1.2699
0.7096 -1.7590 4.2891
5.8330 2.6017 2.1621
3.0797 -2.6017 2.3808
8.2031 1.7590 0.2538
3.7405 -3.7545 3.2730
8.4350 1.0888 1.6655
5.1722 -3.7546 1.2699
5.8330 -2.6017 2.1621
8.2031 -1.7590 0.2538
8.4350 -1.0888 1.6655
3.8521 5.1362 0.9201
1.1224 0.0000 1.7293
3.1097 2.9960 3.2921
5.0606 5.1362 3.6227
3.1789 1.3122 1.0522
5.8030 2.9960 1.2508
3.1266 0.0000 3.2385
3.1789 -1.3122 1.0522
5.7338 1.3122 3.4907
5.7861 0.0000 1.3044
3.1097 -2.9960 3.2921
5.7338 -1.3122 3.4907
3.8521 -5.1362 0.9201
5.8030 -2.9960 1.2508
7.7903 0.0000 2.8136
5.0606 -5.1362 3.6227
```

No. 4
Diffraction record for Mg2VBiO6. The powder X-ray diffraction pattern is simulated, not measured: it uses a structure optimized by DFT (PBE+U) and λ = 1.5418 Å (Cu Kα).

Most intense lines, 2θ = 10–90°, sorted by position:
- 13.09 deg, intensity 76
- 21.39 deg, intensity 34
- 22.18 deg, intensity 30
- 28.92 deg, intensity 100
- 31.01 deg, intensity 77
- 32.44 deg, intensity 20
- 35.12 deg, intensity 20
- 47.94 deg, intensity 21
- 50.30 deg, intensity 20
- 60.61 deg, intensity 17

Atomic structure:
```
Mg2VBiO6
1.0
4.0073 -6.3081 0.0000
4.0073 6.3081 0.0000
0.0000 0.0000 5.5201
Mg V Bi O
4 2 2 12
Cartesian
1.5394 1.1408 1.3800
1.5394 -1.1408 4.1401
6.4753 1.1408 1.3800
6.4753 -1.1408 4.1401
4.0073 3.8013 1.3800
4.0073 -3.8013 4.1401
4.0073 1.1292 4.1401
4.0073 -1.1292 1.3800
2.6060 2.8130 1.3800
4.0073 4.8222 2.8187
4.0073 4.8222 5.4614
2.6332 0.0000 0.0000
2.6332 0.0000 2.7600
5.4087 2.8130 1.3800
2.6060 -2.8130 4.1401
5.3814 0.0000 0.0000
5.3814 0.0000 2.7600
4.0073 -4.8222 0.0587
4.0073 -4.8222 2.7014
5.4087 -2.8130 4.1401
```

No. 5
Diffraction record for Li7Cr3FeP6O24. The powder X-ray diffraction pattern is simulated, not measured: it uses a structure optimized by DFT (PBE+U) and λ = 1.5418 Å (Cu Kα).

Most intense lines, 2θ = 10–90°, sorted by position:
- 14.26 deg, intensity 23
- 20.05 deg, intensity 21
- 20.38 deg, intensity 54
- 23.72 deg, intensity 100
- 28.74 deg, intensity 33
- 31.14 deg, intensity 19
- 32.43 deg, intensity 38
- 35.10 deg, intensity 22
- 48.54 deg, intensity 16
- 54.86 deg, intensity 14

Atomic structure:
```
Li7Cr3FeP6O24
1.0
4.4276 2.5563 7.0628
-4.4276 2.5563 7.0628
0.0000 -5.1126 7.0628
Li Cr Fe P O
7 3 1 6 24
Cartesian
0.0000 0.0000 0.0000
-2.2847 0.3994 9.8042
-1.7905 -1.9087 12.3537
0.7965 -2.1783 9.8042
-0.7577 2.5050 12.3537
1.4882 1.7789 9.8041
2.5482 -0.5963 12.3537
0.0000 0.0000 3.3988
0.0000 0.0000 7.9030
0.0000 0.0000 14.0460
0.0000 0.0000 18.3662
-1.8028 -2.5500 9.2006
-3.1341 0.3257 12.7665
-1.3070 2.8363 9.2006
1.2850 -2.8771 12.7665
3.1098 -0.2863 9.2006
1.8491 2.5513 12.7665
-2.5535 -2.3895 10.5345
-0.8146 -3.7570 9.1933
-3.7759 -1.0840 12.7695
-1.6779 0.0607 6.9205
-3.3858 1.0900 11.4223
-0.9144 -1.2569 9.1794
-2.8464 2.5840 9.1933
0.7864 -1.4835 6.9205
0.7490 -3.4772 11.4223
-1.5809 0.1158 12.7630
-0.6313 1.4203 9.1794
-0.9752 -1.4101 15.0517
0.8915 1.4227 6.9205
0.6901 -1.4270 12.7630
1.5457 -0.1634 9.1794
-0.7926 3.4061 10.5345
-0.7336 1.5496 15.0517
2.8267 -2.7281 12.7695
0.8907 1.3112 12.7630
3.3461 -1.0167 10.5345
1.7088 -0.1395 15.0517
3.6610 1.1730 9.1933
0.9492 3.8120 12.7695
2.6369 2.3873 11.4223
```

No. 6
Diffraction record for Li4CrCu3O8. The powder X-ray diffraction pattern is simulated, not measured: it uses a structure optimized by DFT (PBE+U) and λ = 1.5418 Å (Cu Kα).

Most intense lines, 2θ = 10–90°, sorted by position:
- 18.56 deg, intensity 100
- 35.92 deg, intensity 46
- 37.59 deg, intensity 23
- 43.68 deg, intensity 76
- 47.85 deg, intensity 16
- 57.83 deg, intensity 15
- 63.49 deg, intensity 42
- 66.74 deg, intensity 15
- 76.17 deg, intensity 8
- 80.20 deg, intensity 10

Atomic structure:
```
Li4CrCu3O8
1.0
2.9322 1.6929 4.7794
-2.9322 1.6929 4.7794
0.0000 -3.3858 4.7794
Li Cr Cu O
4 1 3 8
Cartesian
0.0000 0.0000 0.0000
-1.4661 -0.8465 4.7794
-1.4661 0.8465 9.5588
0.0000 1.6929 4.7794
0.0000 0.0000 7.1691
-2.9322 0.0000 7.1691
-1.4661 0.8465 2.3897
1.4661 0.8465 2.3897
0.0000 0.0000 3.4668
-1.4456 -0.8346 8.2647
0.0000 -1.6693 6.0735
-1.4456 0.8346 6.0735
1.4456 -0.8346 8.2647
0.0000 1.6693 8.2647
1.4456 0.8346 6.0735
0.0000 0.0000 10.8713
```

No. 7
Diffraction record for Li4Ti3Mn2Sn3O16. The powder X-ray diffraction pattern is simulated, not measured: it uses a structure optimized by DFT (PBE+U) and λ = 1.5418 Å (Cu Kα).

Most intense lines, 2θ = 10–90°, sorted by position:
- 17.66 deg, intensity 100
- 18.85 deg, intensity 87
- 24.34 deg, intensity 43
- 31.56 deg, intensity 38
- 34.14 deg, intensity 33
- 34.74 deg, intensity 28
- 34.88 deg, intensity 53
- 43.44 deg, intensity 42
- 57.48 deg, intensity 42
- 60.05 deg, intensity 26

Atomic structure:
```
Li4Ti3Mn2Sn3O16
1.0
5.3442 -3.0686 0.0000
5.3442 3.0686 0.0000
-0.0212 0.0000 10.0415
Li Ti Mn Sn O
4 3 2 3 16
Cartesian
0.0000 0.0000 0.0000
0.0321 0.0000 4.9709
3.4347 0.0000 3.8607
6.9933 0.0000 8.9363
1.7131 0.0000 7.2041
6.1556 1.5108 2.1546
6.1556 -1.5108 2.1546
3.4302 0.0000 10.0387
7.0069 0.0000 4.9724
4.3469 1.5170 7.1595
4.3469 -1.5170 7.1595
8.7936 0.0000 2.1394
2.5842 1.3653 8.3000
1.5737 0.0000 1.1139
4.4830 1.6273 1.0424
6.1417 1.6618 6.0742
3.3981 0.0000 6.0091
2.5842 -1.3653 8.3000
5.0663 0.0000 8.3686
7.7710 1.4135 3.2775
5.4318 0.0000 3.2003
6.9474 0.0000 1.0327
4.4830 -1.6273 1.0424
8.9630 0.0000 5.9880
6.1417 -1.6618 6.0742
7.7710 -1.4135 3.2775
10.6640 0.0000 3.1525
10.6469 0.0000 8.2183
```